This entry pairs a crystal structure of Ac2PrTm2 with its simulated PXRD pattern. Radiation: Cu Kα (λ = 1.5418 Å). Structure: the PBE geometry in Alexandria.

The 6 most intense peaks (2θ from 10° to 90°), in order of rising 2θ:
| two_theta | I_rel | index |
| --- | --- | --- |
| 22.60 | 66 | 2 1 1 |
| 30.56 | 33 | 1 1 2 |
| 31.75 | 47 | 4 0 0 |
| 31.97 | 100 | 3 2 1 |
| 32.61 | 53 | 2 0 2 |
| 42.60 | 27 | 4 3 1 |

Cell and atoms:
Cell: 11.2736 11.2736 6.2884 Å, 90.00 90.00 90.00°
Space group I-42d (No. 122)
Inequivalent atoms, fractional coordinates:
Ac 0.0176 0.7500 0.1250 (multiplicity 8)
Pr 0.0000 0.0000 0.5000 (multiplicity 4)
Tm 0.1704 0.7500 0.6250 (multiplicity 8)